# 1
This entry pairs a crystal structure of NbAs2N with its theoretical powder X-ray diffraction pattern. Radiation: Cu Kα X-rays. Structure: a cell relaxed with PBE.
Neutral-atom scattering factors, no anomalous dispersion.

Crystal structure
a = 5.819 Å, b = 5.819 Å, c = 7.849 Å
α = 90.00°, β = 90.00°, γ = 90.00°
Space group I-42d (No. 122)
One atom of each set of equivalent atoms:
Nb: 0.000 0.000 0.000 x4
As: 0.175 0.250 0.625 x8
N: 0.000 0.000 0.500 x4

Peak list (6 most intense, 2θ = 10–90°, by angle)
two_theta	Rel. int.	index
31.50	100	1 1 2
36.37	55	2 1 1
44.01	25	2 2 0
48.33	18	3 0 1
55.13	23	3 1 2
56.57	31	2 0 4

***

# 2
This entry pairs a crystal structure of PaNbAsN with its theoretical powder X-ray diffraction pattern. Radiation: Cu Kα X-rays. Structure: a cell relaxed with PBE.
Neutral-atom scattering factors, no anomalous dispersion.

Crystal structure
a = 3.943 Å, b = 3.943 Å, c = 9.008 Å
α = 90.00°, β = 90.00°, γ = 90.00°
Space group P4/nmm (No. 129, origin choice 2)
One atom of each set of equivalent atoms:
Pa: 0.250 0.250 0.132 x2
Nb: 0.250 0.750 0.500 x2
As: 0.250 0.250 0.704 x2
N: 0.250 0.750 0.000 x2

Peak list (6 most intense, 2θ = 10–90°, by angle)
two_theta	Rel. int.	index
30.12	100	1 0 2
33.65	47	1 1 1
37.96	29	1 1 2
46.04	37	2 0 0
52.21	27	1 1 4
56.01	36	2 1 2

***

# 3
This entry pairs a crystal structure of Pm2NbAsN5 with its theoretical powder X-ray diffraction pattern. Radiation: Cu Kα X-rays. Structure: a cell relaxed with PBE.
Neutral-atom scattering factors, no anomalous dispersion.

Crystal structure
a = 3.305 Å, b = 14.501 Å, c = 10.124 Å
α = 90.00°, β = 90.00°, γ = 90.00°
Space group Cmc2_1 (No. 36)
One atom of each set of equivalent atoms:
Pm: 0.000 0.114 0.000 x4
Pm: 0.000 0.132 0.615 x4
Nb: 0.000 0.220 0.332 x4
As: 0.000 0.451 0.761 x4
N: 0.000 0.043 0.357 x4
N: 0.000 0.288 0.970 x4
N: 0.000 0.325 0.693 x4
N: 0.000 0.349 0.315 x4
N: 0.000 0.496 0.100 x4

Peak list (6 most intense, 2θ = 10–90°, by angle)
two_theta	Rel. int.	index
29.19	100	0 2 3
30.32	80	0 4 2
32.83	57	1 3 0
32.95	65	1 1 2
34.04	57	1 3 1
38.63	89	1 1 3

***

# 4
This entry pairs a crystal structure of ScNbAsN2 with its theoretical powder X-ray diffraction pattern. Radiation: Cu Kα X-rays. Structure: a cell relaxed with PBE.
Neutral-atom scattering factors, no anomalous dispersion.

Crystal structure
a = 3.974 Å, b = 3.974 Å, c = 6.385 Å
α = 90.00°, β = 90.00°, γ = 90.00°
Space group P4/mmm (No. 123)
One atom of each set of equivalent atoms:
Sc: 0.000 0.000 0.000 x1
Nb: 0.000 0.000 0.500 x1
As: 0.500 0.500 0.000 x1
N: 0.000 0.500 0.500 x2

Peak list (6 most intense, 2θ = 10–90°, by angle)
two_theta	Rel. int.	index
26.42	100	1 0 1
27.95	81	0 0 2
31.85	68	1 1 0
42.88	60	1 1 2
45.66	39	2 0 0
54.39	45	2 0 2

***

# 5
This entry pairs a crystal structure of NdAsN with its theoretical powder X-ray diffraction pattern. Radiation: Cu Kα X-rays. Structure: a cell relaxed with PBE.
Neutral-atom scattering factors, no anomalous dispersion.

Crystal structure
a = 6.627 Å, b = 4.888 Å, c = 4.017 Å
α = 90.00°, β = 112.03°, γ = 90.00°
Space group Cm (No. 8)
One atom of each set of equivalent atoms:
Nd: 0.000 0.000 0.000 x2
As: 0.473 0.000 0.542 x2
N: 0.220 0.000 0.639 x2

Peak list (6 most intense, 2θ = 10–90°, by angle)
two_theta	Rel. int.	index
29.07	51	2 0 0
29.31	100	1 1 -1
36.78	36	0 2 0
37.44	65	1 1 1
45.74	33	3 1 -1
47.55	27	2 2 0

***

# 6
This entry pairs a crystal structure of Nd2NpAsN5 with its theoretical powder X-ray diffraction pattern. Radiation: Cu Kα X-rays. Structure: a cell relaxed with PBE.
Neutral-atom scattering factors, no anomalous dispersion.

Crystal structure
a = 3.555 Å, b = 14.207 Å, c = 10.439 Å
α = 90.00°, β = 90.00°, γ = 90.00°
Space group Cmc2_1 (No. 36)
One atom of each set of equivalent atoms:
Nd: 0.000 0.111 0.000 x4
Nd: 0.000 0.134 0.641 x4
Np: 0.000 0.202 0.343 x4
As: 0.000 0.457 0.757 x4
N: 0.000 0.036 0.339 x4
N: 0.000 0.288 0.977 x4
N: 0.000 0.323 0.700 x4
N: 0.000 0.346 0.325 x4
N: 0.000 0.492 0.098 x4

Peak list (6 most intense, 2θ = 10–90°, by angle)
two_theta	Rel. int.	index
28.56	68	0 2 3
31.47	53	1 3 0
32.64	44	1 3 1
36.69	100	1 1 3
39.00	37	0 6 1
44.35	35	1 5 2

***

# 7
This entry pairs a crystal structure of Nd8As3Se4N with its theoretical powder X-ray diffraction pattern. Radiation: Cu Kα X-rays. Structure: a cell relaxed with PBE.
Neutral-atom scattering factors, no anomalous dispersion.

Crystal structure
a = 8.3315 Å, b = 8.3315 Å, c = 20.7704 Å
α = 90.00°, β = 90.00°, γ = 120.00°
Space group R-3m (No. 166, hexagonal axes)
One atom of each set of equivalent atoms:
Nd: 0.0000 0.0000 0.2468 x6
Nd: 0.0239 0.5120 0.2411 x18
As: 0.0000 0.5000 0.5000 x9
Se: 0.0000 0.0000 0.0000 x3
Se: 0.0000 0.5000 0.0000 x9
N: 0.0000 0.0000 0.5000 x3

Peak list (6 most intense, 2θ = 10–90°, by angle)
two_theta	Rel. int.	index
26.15	16	2 0 2
30.16	100	0 2 4
42.92	35	2 0 8
43.45	36	2 2 0
53.80	18	4 0 4
71.54	14	2 4 4

***

# 8
This entry pairs a crystal structure of NiAs3N with its theoretical powder X-ray diffraction pattern. Radiation: Cu Kα X-rays. Structure: a cell relaxed with PBE.
Neutral-atom scattering factors, no anomalous dispersion.

Crystal structure
a = 4.258 Å, b = 4.258 Å, c = 4.258 Å
α = 90.00°, β = 90.00°, γ = 90.00°
Space group Pm-3m (No. 221)
One atom of each set of equivalent atoms:
Ni: 0.000 0.000 0.000 x1
As: 0.000 0.500 0.500 x3
N: 0.500 0.500 0.500 x1

Peak list (6 most intense, 2θ = 10–90°, by angle)
two_theta	Rel. int.	index
20.86	3	1 0 0
36.55	100	1 1 1
42.46	58	2 0 0
61.60	37	2 2 0
73.80	37	3 1 1
77.68	12	2 2 2

***

# 9
This entry pairs a crystal structure of PaNiAsN with its theoretical powder X-ray diffraction pattern. Radiation: Cu Kα X-rays. Structure: a cell relaxed with PBE.
Neutral-atom scattering factors, no anomalous dispersion.

Crystal structure
a = 3.302 Å, b = 3.302 Å, c = 11.458 Å
α = 90.00°, β = 90.00°, γ = 90.00°
Space group I4mm (No. 107)
One atom of each set of equivalent atoms:
Pa: 0.000 0.000 0.000 x2
Ni: 0.000 0.000 0.697 x2
As: 0.000 0.000 0.271 x2
N: 0.000 0.000 0.530 x2

Peak list (6 most intense, 2θ = 10–90°, by angle)
two_theta	Rel. int.	index
28.12	66	1 0 1
31.23	40	0 0 4
35.95	100	1 0 3
38.56	66	1 1 0
50.42	43	1 1 4
63.46	41	1 0 7

***

# 10
This entry pairs a crystal structure of TbNi2AsN with its theoretical powder X-ray diffraction pattern. Radiation: Cu Kα X-rays. Structure: a cell relaxed with PBE.
Neutral-atom scattering factors, no anomalous dispersion.

Crystal structure
a = 3.490 Å, b = 11.574 Å, c = 6.827 Å
α = 90.00°, β = 90.00°, γ = 90.00°
Space group Cmcm (No. 63)
One atom of each set of equivalent atoms:
Tb: 0.000 0.028 0.250 x4
Ni: 0.000 0.336 0.048 x8
As: 0.000 0.238 0.750 x4
N: 0.000 0.500 0.000 x4

Peak list (6 most intense, 2θ = 10–90°, by angle)
two_theta	Rel. int.	index
33.64	32	0 4 1
34.66	66	1 3 0
37.15	48	1 3 1
37.67	100	1 1 2
40.88	44	0 4 2
63.76	34	1 7 1

***

# 11
This entry pairs a crystal structure of ThNiAsN with its theoretical powder X-ray diffraction pattern. Radiation: Cu Kα X-rays. Structure: a cell relaxed with PBE.
Neutral-atom scattering factors, no anomalous dispersion.

Crystal structure
a = 4.116 Å, b = 4.116 Å, c = 8.142 Å
α = 90.00°, β = 90.00°, γ = 90.00°
Space group P4/nmm (No. 129, origin choice 2)
One atom of each set of equivalent atoms:
Th: 0.250 0.250 0.140 x2
Ni: 0.250 0.750 0.500 x2
As: 0.250 0.250 0.642 x2
N: 0.250 0.750 0.000 x2

Peak list (6 most intense, 2θ = 10–90°, by angle)
two_theta	Rel. int.	index
24.23	26	1 0 1
30.72	28	1 1 0
30.90	100	1 0 2
44.00	31	2 0 0
54.73	41	2 1 2
55.06	28	1 1 4

***

# 12
This entry pairs a crystal structure of Np2PaAs2N2 with its theoretical powder X-ray diffraction pattern. Radiation: Cu Kα X-rays. Structure: a cell relaxed with PBE.
Neutral-atom scattering factors, no anomalous dispersion.

Crystal structure
a = 12.016 Å, b = 3.866 Å, c = 6.987 Å
α = 90.00°, β = 121.81°, γ = 90.00°
Space group C2/m (No. 12)
One atom of each set of equivalent atoms:
Np: 0.186 0.000 0.241 x4
Pa: 0.000 0.000 0.500 x2
As: 0.067 0.500 0.851 x4
N: 0.202 0.000 0.588 x4

Peak list (6 most intense, 2θ = 10–90°, by angle)
two_theta	Rel. int.	index
25.55	27	2 0 -2
29.94	63	4 0 -1
31.27	100	1 1 1
36.20	68	3 1 -2
50.54	25	5 1 0
56.75	24	4 2 -1